(1)
For Rb5Tl11Cd2, DFT lattice parameters and positions (PBE) gives the calculated XRD peak list in this record (Cu Kα (λ = 1.5418 Å)).

Atomic structure:
```
18
Lattice="5.863 0.000 0.000 0.000 8.994 6.608 0.000 -8.994 6.608" Properties=species:S:1:pos:R:3 pbc="T T T"
Rb 0.000 0.000 0.000
Rb 0.000 -3.458 10.379
Rb 0.000 3.458 10.379
Rb 2.931 -5.600 7.540
Rb 2.931 5.600 7.540
Tl 0.000 -1.766 3.373
Tl 0.000 -2.882 6.651
Tl 0.000 1.766 3.373
Tl 0.000 0.000 8.736
Tl 0.000 2.882 6.651
Tl 2.931 0.000 2.639
Tl 2.931 -2.828 4.784
Tl 2.931 -1.859 8.100
Tl 2.931 2.828 4.784
Tl 2.931 1.859 8.100
Tl 2.931 0.000 10.716
Cd 1.469 0.000 5.728
Cd 4.394 0.000 5.728
```

Main lines, sorted by position (10° ≤ 2θ ≤ 90°):
d 3.037, 29.41 deg, rel. 100.0; d 2.987, 29.91 deg, rel. 64.1; d 2.931, 30.49 deg, rel. 52.3; d 2.878, 31.07 deg, rel. 46.2; d 2.787, 32.12 deg, rel. 28.0; d 2.583, 34.73 deg, rel. 27.7; d 2.475, 36.30 deg, rel. 35.0; d 2.422, 37.12 deg, rel. 51.6


(2)
For K2BaNa2Ti4Si8O32, DFT lattice parameters and positions (PBE) gives the calculated XRD peak list in this record (Cu Kα (λ = 1.5418 Å)).

Atomic structure:
```
49
Lattice="7.218 -7.043 0.000 7.218 7.043 0.000 -3.659 0.000 6.963" Properties=species:S:1:pos:R:3 pbc="T T T"
K 0.000 0.000 0.000
K 0.101 0.000 4.245
Ba 7.163 0.000 4.733
Na 8.239 3.530 1.950
Na 8.239 -3.530 1.950
Ti 2.003 3.418 5.671
Ti 5.374 3.212 5.638
Ti 2.003 -3.418 5.671
Ti 5.374 -3.212 5.638
Si 3.774 5.477 3.913
Si 3.455 1.561 0.359
Si 3.524 1.523 3.501
Si 3.455 -1.561 0.359
Si 3.524 -1.523 3.501
Si 11.158 1.576 0.842
Si 3.774 -5.477 3.913
Si 11.158 -1.576 0.842
O 5.169 4.486 0.418
O 2.348 2.571 3.943
O 6.491 5.195 2.052
O 1.023 1.907 6.317
O 5.047 4.549 4.321
O 2.951 0.000 0.062
O 3.886 1.688 1.921
O 3.653 3.024 6.335
O 9.389 4.521 0.083
O 2.913 0.000 3.724
O 4.912 1.704 4.356
O 1.023 -1.907 6.317
O 6.848 2.099 3.153
O 3.886 -1.688 1.921
O 7.273 3.075 4.892
O 2.348 -2.571 3.943
O 6.274 1.780 6.733
O 4.912 -1.704 4.356
O 10.540 1.809 2.338
O 5.169 -4.486 0.418
O 3.653 -3.024 6.335
O 9.716 1.801 4.895
O 6.848 -2.099 3.153
O 6.274 -1.780 6.733
O 5.047 -4.549 4.321
O 11.663 0.000 0.648
O 6.491 -5.195 2.052
O 7.273 -3.075 4.892
O 10.540 -1.809 2.338
O 11.507 0.000 4.067
O 9.389 -4.521 0.083
O 9.716 -1.801 4.895
```

Main lines, sorted by position (10° ≤ 2θ ≤ 90°):
d 6.963, 12.71 deg, rel. 100.0; d 6.847, 12.93 deg, rel. 55.0; d 6.413, 13.81 deg, rel. 65.6; d 3.212, 27.77 deg, rel. 80.7; d 3.143, 28.40 deg, rel. 41.4; d 3.121, 28.60 deg, rel. 43.7; d 3.086, 28.93 deg, rel. 73.5; d 2.608, 34.38 deg, rel. 40.6